No. 1
For Ge2Pd6Au, DFT lattice parameters and positions (PBE) gives the simulated powder diffraction line list in this record (Cu Kα, 1.54184 Å).
Intensities are scaled so that the largest is 100.

Top 10 peaks for 10° ≤ 2θ ≤ 80°, by angle:
| index | 2theta | I/Imax |
| --- | --- | --- |
| 1 2 -2 | 33.37 | 50 |
| 1 0 2 | 36.20 | 100 |
| 2 1 -2 | 36.97 | 58 |
| 1 2 -3 | 39.48 | 37 |
| 0 3 1 | 39.85 | 38 |
| 2 1 -3 | 39.98 | 64 |
| 1 1 -4 | 42.08 | 54 |
| 1 3 0 | 43.10 | 34 |
| 2 2 -1 | 43.73 | 35 |
| 2 2 0 | 47.14 | 36 |

Atomic structure:
a b c (Å): 5.213 7.079 9.022
angles (deg): 90.00 118.20 90.00
Space group P2_1/c (No. 14)
Unique sites:
Ge1 0.223 0.085 0.287 x4
Pd1 0.133 0.142 0.958 x4
Pd2 0.257 0.737 0.381 x4
Pd3 0.466 0.104 0.795 x4
Au1 0.000 0.000 0.500 x2



No. 2
For CsMg2Hg9, DFT lattice parameters and positions (PBE) gives the simulated powder diffraction line list in this record (Cu Kα, 1.54184 Å).
Intensities are scaled so that the largest is 100.

Top 10 peaks for 10° ≤ 2θ ≤ 80°, by angle:
| index | 2theta | I/Imax |
| --- | --- | --- |
| 2 1 0 | 28.24 | 21 |
| 2 0 1 | 29.72 | 100 |
| 2 1 1 | 35.17 | 44 |
| 2 2 0 | 37.25 | 41 |
| 0 0 2 | 41.76 | 17 |
| 4 0 1 | 48.36 | 13 |
| 2 2 2 | 57.19 | 25 |
| 5 0 1 | 59.24 | 16 |
| 4 2 1 | 62.59 | 16 |
| 2 0 3 | 68.88 | 9 |

Atomic structure:
a b c (Å): 9.6546 9.6546 4.3260
angles (deg): 90.00 90.00 120.00
Space group P6/mmm (No. 191)
Unique sites:
Cs1 0.0000 0.0000 0.0000 x1
Mg1 0.3333 0.6667 0.0000 x2
Hg1 0.0000 0.5000 0.0000 x3
Hg2 0.1973 0.3946 0.5000 x6



No. 3
For Tb7SmDy3, DFT lattice parameters and positions (PBE) gives the simulated powder diffraction line list in this record (Cu Kα, 1.54184 Å).
Intensities are scaled so that the largest is 100.

Top 10 peaks for 10° ≤ 2θ ≤ 80°, by angle:
| index | 2theta | I/Imax |
| --- | --- | --- |
| 1 1 2 | 31.55 | 27 |
| 2 1 0 | 31.74 | 100 |
| 2 1 -2 | 31.90 | 83 |
| 0 2 0 | 32.24 | 87 |
| 0 1 3 | 33.08 | 68 |
| 2 2 -3 | 46.25 | 16 |
| 4 0 -2 | 52.54 | 20 |
| 2 3 0 | 57.16 | 20 |
| 2 1 4 | 58.37 | 17 |
| 4 2 -2 | 63.00 | 23 |

Atomic structure:
a b c (Å): 6.969 5.554 9.903
angles (deg): 90.00 110.00 90.00
Space group P2/m (No. 10)
Unique sites:
Tb1 0.000 0.000 0.000 x1
Tb2 0.147 0.500 0.290 x2
Tb3 0.323 0.500 0.642 x2
Tb4 0.421 0.000 0.831 x2
Sm1 0.000 0.000 0.500 x1
Dy1 0.278 0.500 0.998 x2
Dy2 0.500 0.000 0.500 x1